Diffraction record for CsBaI3. The powder XRD pattern is calculated, not measured: it uses a crystal structure in Alexandria, relaxed with PBE and a wavelength of 1.5418 Å.
Peak positions follow from Bragg's law for the DFT cell and can differ from measured ones.

Main lines, by angle (2θ = 10–90°):
| (hkl) | Position (°2θ) | I/Imax |
| --- | --- | --- |
| 0 0 1 | 10.54 | 60.5 |
| 1 1 -1 | 18.14 | 50.4 |
| 2 1 1 | 19.73 | 72.7 |
| 0 1 -2 | 21.98 | 48.2 |
| 2 0 1 | 22.23 | 93.4 |
| 0 2 1 | 26.79 | 60.8 |
| 2 2 2 | 27.13 | 59.9 |
| 0 2 -2 | 27.88 | 82.0 |
| 2 2 -1 | 29.08 | 100.0 |
| 0 0 3 | 32.02 | 45.0 |

Crystal structure
```
data_CsBaI3
_cell_length_a 9.020
_cell_length_b 9.061
_cell_length_c 9.429
_cell_angle_alpha 87.85
_cell_angle_beta 65.11
_cell_angle_gamma 62.52
_symmetry_space_group_name_H-M 'P -1'
_symmetry_Int_Tables_number 2
_symmetry_space_group_name_Hall '-P 1'
loop_
_atom_site_label
_atom_site_fract_x
_atom_site_fract_y
_atom_site_fract_z
Cs1 0.200 0.356 0.156
Ba1 0.335 0.830 0.507
I1 0.028 0.760 0.431
I2 0.311 0.549 0.768
I3 0.400 0.017 0.777
```

---

Diffraction record for CsBaI3. The powder XRD pattern is calculated, not measured: it uses a crystal structure in Alexandria, relaxed with PBE and a wavelength of 1.5418 Å.
Peak positions follow from Bragg's law for the DFT cell and can differ from measured ones.

Main lines, by angle (2θ = 10–90°):
| (hkl) | Position (°2θ) | I/Imax |
| --- | --- | --- |
| 1 -1 0 | 11.82 | 100.0 |
| 1 0 -1 | 12.87 | 50.2 |
| 1 -2 1 | 20.29 | 86.7 |
| 1 -2 2 | 24.24 | 66.3 |
| 1 1 1 | 25.68 | 66.9 |
| -2 1 2 | 26.74 | 64.8 |
| 1 1 -3 | 28.67 | 62.6 |
| 0 2 1 | 28.97 | 69.7 |
| 2 -1 2 | 29.61 | 65.1 |
| 0 2 -3 | 30.09 | 52.3 |

Crystal structure
```
data_CsBaI3
_cell_length_a 8.826
_cell_length_b 8.959
_cell_length_c 9.928
_cell_angle_alpha 106.54
_cell_angle_beta 96.68
_cell_angle_gamma 115.74
_symmetry_space_group_name_H-M 'P 1'
_symmetry_Int_Tables_number 1
_symmetry_space_group_name_Hall 'P 1'
loop_
_atom_site_label
_atom_site_fract_x
_atom_site_fract_y
_atom_site_fract_z
Cs1 0.000 0.000 0.000
Cs2 0.310 0.510 0.903
Ba1 0.490 0.124 0.455
Ba2 0.828 0.772 0.446
I1 0.100 0.748 0.220
I2 0.244 0.018 0.696
I3 0.473 0.353 0.222
I4 0.670 0.566 0.690
I5 0.671 0.933 0.218
I6 0.814 0.129 0.694
```

---

Diffraction record for CsBaI3. The powder XRD pattern is calculated, not measured: it uses a crystal structure in Alexandria, relaxed with PBE and a wavelength of 1.5418 Å.
Peak positions follow from Bragg's law for the DFT cell and can differ from measured ones.

Main lines, by angle (2θ = 10–90°):
| (hkl) | Position (°2θ) | I/Imax |
| --- | --- | --- |
| 0 2 1 | 20.74 | 21.2 |
| 0 1 2 | 21.84 | 35.2 |
| 1 2 0 | 22.97 | 33.2 |
| 2 0 -1 | 26.17 | 64.7 |
| 1 2 1 | 26.90 | 32.7 |
| 0 2 2 | 27.05 | 100.0 |
| 0 4 0 | 36.86 | 22.8 |
| 2 2 1 | 37.77 | 35.5 |
| 2 2 -3 | 38.17 | 27.9 |
| 2 4 -1 | 45.77 | 24.4 |

Crystal structure
```
data_CsBaI3
_cell_length_a 6.810
_cell_length_b 9.754
_cell_length_c 9.543
_cell_angle_alpha 90.00
_cell_angle_beta 110.16
_cell_angle_gamma 90.00
_symmetry_space_group_name_H-M 'P 1 21/m 1'
_symmetry_Int_Tables_number 11
_symmetry_space_group_name_Hall '-P 2yb'
loop_
_atom_site_label
_atom_site_fract_x
_atom_site_fract_y
_atom_site_fract_z
Cs1 0.189 0.250 0.387
Ba1 0.491 0.250 0.973
I1 0.016 0.750 0.041
I2 0.365 0.523 0.722
```

---

Diffraction record for CsBaIn2I8. The powder XRD pattern is calculated, not measured: it uses a crystal structure in Alexandria, relaxed with PBE and a wavelength of 1.5418 Å.
Peak positions follow from Bragg's law for the DFT cell and can differ from measured ones.

Main lines, by angle (2θ = 10–90°):
| (hkl) | Position (°2θ) | I/Imax |
| --- | --- | --- |
| 0 1 1 | 14.92 | 31.2 |
| 1 0 2 | 19.81 | 19.8 |
| 0 0 3 | 22.57 | 27.5 |
| 1 1 1 | 23.64 | 100.0 |
| 2 -1 2 | 27.04 | 81.8 |
| 1 1 4 | 37.96 | 50.3 |
| 3 0 0 | 39.30 | 53.9 |
| 2 -1 5 | 44.61 | 17.7 |
| 0 3 3 | 45.78 | 25.6 |
| 4 -2 4 | 55.79 | 17.9 |

Crystal structure
```
data_CsBaIn2I8
_cell_length_a 7.9422
_cell_length_b 7.9422
_cell_length_c 11.8185
_cell_angle_alpha 90.00
_cell_angle_beta 90.00
_cell_angle_gamma 120.00
_symmetry_space_group_name_H-M 'P -3'
_symmetry_Int_Tables_number 147
_symmetry_space_group_name_Hall '-P 3'
loop_
_atom_site_label
_atom_site_fract_x
_atom_site_fract_y
_atom_site_fract_z
Cs1 0.0000 0.0000 0.0000
Ba1 0.0000 0.0000 0.5000
In1 0.3333 0.6667 0.7620
I1 0.0196 0.6760 0.3098
I2 0.3333 0.6667 0.9994
```

---

Diffraction record for Cs2BaIrI6. The powder XRD pattern is calculated, not measured: it uses a crystal structure in Alexandria, relaxed with PBE and a wavelength of 1.5418 Å.
Peak positions follow from Bragg's law for the DFT cell and can differ from measured ones.

Main lines, by angle (2θ = 10–90°):
| (hkl) | Position (°2θ) | I/Imax |
| --- | --- | --- |
| 1 0 1 | 12.48 | 24.9 |
| 0 0 2 | 14.42 | 48.0 |
| 1 1 2 | 20.45 | 51.1 |
| 2 0 2 | 25.12 | 73.2 |
| 2 2 0 | 29.04 | 96.3 |
| 0 0 4 | 29.17 | 47.4 |
| 3 1 2 | 35.81 | 18.7 |
| 4 0 0 | 41.59 | 100.0 |
| 4 0 4 | 51.55 | 32.8 |
| 6 2 0 | 68.22 | 25.0 |

Crystal structure
```
data_Cs2BaIrI6
_cell_length_a 8.698
_cell_length_b 8.698
_cell_length_c 12.246
_cell_angle_alpha 90.00
_cell_angle_beta 90.00
_cell_angle_gamma 90.00
_symmetry_space_group_name_H-M 'I 4/m m m'
_symmetry_Int_Tables_number 139
_symmetry_space_group_name_Hall '-I 4 2'
loop_
_atom_site_label
_atom_site_fract_x
_atom_site_fract_y
_atom_site_fract_z
Cs1 0.000 0.500 0.250
Ba1 0.000 0.000 0.000
Ir1 0.000 0.000 0.500
I1 0.000 0.000 0.275
I2 0.225 0.225 0.500
```

---

Diffraction record for CsKBaI4. The powder XRD pattern is calculated, not measured: it uses a crystal structure in Alexandria, relaxed with PBE and a wavelength of 1.5418 Å.
Peak positions follow from Bragg's law for the DFT cell and can differ from measured ones.

Main lines, by angle (2θ = 10–90°):
| (hkl) | Position (°2θ) | I/Imax |
| --- | --- | --- |
| 1 0 1 | 13.95 | 20.3 |
| 1 1 0 | 18.63 | 27.8 |
| 1 1 2 | 20.85 | 40.1 |
| 2 0 0 | 26.47 | 100.0 |
| 1 0 5 | 26.88 | 36.4 |
| 0 0 6 | 28.10 | 31.3 |
| 2 2 0 | 37.78 | 30.1 |
| 2 1 5 | 38.08 | 28.5 |
| 2 0 6 | 38.98 | 40.3 |
| 2 2 6 | 47.74 | 21.3 |

Crystal structure
```
data_CsKBaI4
_cell_length_a 6.735
_cell_length_b 6.735
_cell_length_c 19.056
_cell_angle_alpha 90.00
_cell_angle_beta 90.00
_cell_angle_gamma 90.00
_symmetry_space_group_name_H-M 'I 4 m m'
_symmetry_Int_Tables_number 107
_symmetry_space_group_name_Hall 'I 4 -2'
loop_
_atom_site_label
_atom_site_fract_x
_atom_site_fract_y
_atom_site_fract_z
Cs1 0.000 0.000 0.000
K1 0.000 0.000 0.726
Ba1 0.000 0.000 0.368
I1 0.000 0.000 0.191
I2 0.000 0.000 0.547
I3 0.000 0.500 0.360
```